Diffraction record for Rb6PuI8. The powder XRD pattern is simulated, not measured: it uses a PBE-relaxed structure and Cu Kα X-rays.

Cell and atoms:
```
data_Rb6PuI8
_cell_length_a 10.9060
_cell_length_b 10.9060
_cell_length_c 21.8241
_cell_angle_alpha 90.00
_cell_angle_beta 90.00
_cell_angle_gamma 120.00
_space_group_name_H-M_alt 'R -3'
_space_group_IT_number 148
_space_group_name_Hall '-R 3'
loop_
_atom_site_label
_atom_site_fract_x
_atom_site_fract_y
_atom_site_fract_z
Rb1 0.0175 0.4022 0.4208
Pu1 0.0000 0.0000 0.5000
I1 0.0000 0.0000 0.1591
I2 0.0106 0.2500 0.5851
```

Main lines, by angle (10° ≤ 2θ ≤ 80°):
- 2θ = 10.2°, 8.668 Å, I 39, (1 0 1)
- 2θ = 12.2°, 7.275 Å, I 37, (0 0 3)
- 2θ = 20.4°, 4.363 Å, I 66, (2 -1 3)
- 2θ = 25.3°, 3.523 Å, I 42, (2 1 1)
- 2θ = 26.3°, 3.393 Å, I 52, (3 -2 2)
- 2θ = 28.3°, 3.148 Å, I 62, (3 0 0)
- 2θ = 29.5°, 3.026 Å, I 100, (1 1 6)
- 2θ = 29.9°, 2.987 Å, I 40, (3 -1 4)